# 1
Simulated PXRD pattern of NbTlF6 for Cu Kα, 1.54184 Å, from a cell relaxed with PBE.
Peak positions follow from Bragg's law for the DFT cell and can differ from measured ones.

Atomic structure:
```
data_NbTlF6
_chemical_formula_sum 'Nb4 Tl4 F24'
_cell_length_a 9.7382
_cell_length_b 4.8357
_cell_length_c 9.7857
_cell_angle_alpha 90.00
_cell_angle_beta 100.87
_cell_angle_gamma 90.00
_symmetry_space_group_name_H-M 'C 1 2/c 1'
_symmetry_Int_Tables_number 15
_symmetry_space_group_name_Hall '-C 2yc'
loop_
_atom_site_label
_atom_site_fract_x
_atom_site_fract_y
_atom_site_fract_z
Nb1 0.2500 0.2500 0.0000
Tl1 0.0000 0.1386 0.2500
F1 0.0773 0.3947 0.8945
F2 0.1470 0.0716 0.5402
F3 0.2145 0.4263 0.1673
```

Most intense lines, 15° ≤ 2θ ≤ 90°, in order of rising 2θ:
hkl 1 1 0, d 4.315, intensity 29; hkl 1 1 1, d 3.817, intensity 100; hkl 2 0 -2, d 3.763, intensity 65; hkl 2 0 2, d 3.109, intensity 41; hkl 1 1 -3, d 2.684, intensity 41; hkl 3 1 -1, d 2.676, intensity 38; hkl 3 1 2, d 2.187, intensity 20; hkl 1 1 -4, d 2.179, intensity 20; hkl 2 2 -1, d 2.145, intensity 32; hkl 3 1 3, d 1.906, intensity 19

# 2
Simulated PXRD pattern of NbXeF11 for Cu Kα, 1.54184 Å, from a cell relaxed with PBE.
Peak positions follow from Bragg's law for the DFT cell and can differ from measured ones.

Atomic structure:
```
data_NbXeF11
_chemical_formula_sum 'Nb4 Xe4 F44'
_cell_length_a 15.9425
_cell_length_b 7.7508
_cell_length_c 5.1740
_cell_angle_alpha 90.00
_cell_angle_beta 90.00
_cell_angle_gamma 90.00
_symmetry_space_group_name_H-M 'P n m a'
_symmetry_Int_Tables_number 62
_symmetry_space_group_name_Hall '-P 2ac 2n'
loop_
_atom_site_label
_atom_site_fract_x
_atom_site_fract_y
_atom_site_fract_z
Nb1 0.0534 0.2500 0.2034
Xe1 0.1531 0.7500 0.2998
F1 0.0144 0.7500 0.4806
F2 0.0434 0.0045 0.2240
F3 0.0646 0.7500 0.9355
F4 0.0885 0.2500 0.8589
F5 0.1546 0.5733 0.5768
F6 0.1588 0.2500 0.3628
F7 0.1967 0.5706 0.0626
F8 0.2286 0.2500 0.8863
```

Most intense lines, 15° ≤ 2θ ≤ 90°, in order of rising 2θ:
hkl 2 1 0, d 5.557, intensity 23; hkl 2 0 1, d 4.340, intensity 100; hkl 0 2 0, d 3.875, intensity 68; hkl 2 1 1, d 3.787, intensity 67; hkl 4 1 0, d 3.544, intensity 56; hkl 4 1 1, d 2.924, intensity 20; hkl 2 2 1, d 2.891, intensity 49; hkl 4 1 2, d 2.090, intensity 20; hkl 0 4 0, d 1.938, intensity 20; hkl 8 2 1, d 1.676, intensity 21

# 3
Simulated PXRD pattern of Nd4O3F4 for Cu Kα, 1.54184 Å, from a cell relaxed with PBE.
Peak positions follow from Bragg's law for the DFT cell and can differ from measured ones.

Atomic structure:
```
data_Nd4O3F4
_chemical_formula_sum 'Nd4 O3 F4'
_cell_length_a 3.6821
_cell_length_b 7.4321
_cell_length_c 6.1359
_cell_angle_alpha 90.00
_cell_angle_beta 90.00
_cell_angle_gamma 90.00
_symmetry_space_group_name_H-M 'P m m 2'
_symmetry_Int_Tables_number 25
_symmetry_space_group_name_Hall 'P 2 -2'
loop_
_atom_site_label
_atom_site_fract_x
_atom_site_fract_y
_atom_site_fract_z
Nd1 0.0000 0.0000 0.0000
Nd2 0.0000 0.5000 0.0095
Nd3 0.5000 0.2519 0.5692
O1 0.0000 0.2639 0.7866
O2 0.5000 0.0000 0.7814
F1 0.0000 0.0000 0.4020
F2 0.0000 0.5000 0.4085
F3 0.5000 0.2306 0.1697
```

Most intense lines, 15° ≤ 2θ ≤ 90°, in order of rising 2θ:
hkl 0 2 1, d 3.179, intensity 100; hkl 1 0 1, d 3.157, intensity 98; hkl 0 0 2, d 3.068, intensity 39; hkl 1 2 0, d 2.616, intensity 83; hkl 1 2 2, d 1.990, intensity 66; hkl 0 4 0, d 1.858, intensity 20; hkl 0 2 3, d 1.792, intensity 21; hkl 1 0 3, d 1.788, intensity 20; hkl 1 4 1, d 1.601, intensity 28; hkl 2 2 1, d 1.593, intensity 27

# 4
Simulated PXRD pattern of Nd2OF2 for Cu Kα, 1.54184 Å, from a cell relaxed with PBE.
Peak positions follow from Bragg's law for the DFT cell and can differ from measured ones.

Atomic structure:
```
data_Nd2OF2
_chemical_formula_sum 'Nd8 O4 F8'
_cell_length_a 8.0163
_cell_length_b 8.0163
_cell_length_c 5.6301
_cell_angle_alpha 90.00
_cell_angle_beta 90.00
_cell_angle_gamma 90.00
_symmetry_space_group_name_H-M 'P 42/n m c'
_symmetry_Int_Tables_number 137
loop_
_symmetry_equiv_pos_as_xyz
'x,y,z'
'-x,-y,-z'
'-y+1/2,x,z+1/2'
'y+1/2,-x,-z+1/2'
'-x+1/2,-y+1/2,z'
'x+1/2,y+1/2,-z'
'y,-x+1/2,z+1/2'
'-y,x+1/2,-z+1/2'
'x+1/2,-y,-z'
'-x+1/2,y,z'
'-y,-x,-z+1/2'
'y,x,z+1/2'
'-x,y+1/2,-z'
'x,-y+1/2,z'
'y+1/2,x+1/2,-z+1/2'
'-y+1/2,-x+1/2,z+1/2'
loop_
_atom_site_label
_atom_site_fract_x
_atom_site_fract_y
_atom_site_fract_z
Nd1 0.0160 0.2500 0.0014
O1 0.2500 0.2500 0.2512
F1 0.0008 0.5008 0.2500
```

Most intense lines, 15° ≤ 2θ ≤ 90°, in order of rising 2θ:
hkl 2 0 1, d 3.265, intensity 100; hkl 2 2 0, d 2.834, intensity 21; hkl 0 0 2, d 2.815, intensity 11; hkl 4 0 0, d 2.004, intensity 17; hkl 2 2 2, d 1.997, intensity 35; hkl 4 2 1, d 1.708, intensity 28; hkl 2 0 3, d 1.700, intensity 15; hkl 4 0 2, d 1.633, intensity 9; hkl 4 2 3, d 1.296, intensity 11; hkl 6 2 2, d 1.156, intensity 9

# 5
Simulated PXRD pattern of Nd2SeOF2 for Cu Kα, 1.54184 Å, from a cell relaxed with PBE.
Peak positions follow from Bragg's law for the DFT cell and can differ from measured ones.

Atomic structure:
```
data_Nd2SeOF2
_chemical_formula_sum 'Nd12 Se6 O6 F12'
_cell_length_a 13.6749
_cell_length_b 13.6749
_cell_length_c 3.8696
_cell_angle_alpha 90.00
_cell_angle_beta 90.00
_cell_angle_gamma 120.00
_symmetry_space_group_name_H-M 'P 63/m'
_symmetry_Int_Tables_number 176
_symmetry_space_group_name_Hall '-P 6c'
loop_
_atom_site_label
_atom_site_fract_x
_atom_site_fract_y
_atom_site_fract_z
Nd1 0.0547 0.7671 0.2500
Nd2 0.1210 0.5172 0.2500
Se1 0.2058 0.7187 0.7500
O1 0.0150 0.4268 0.7500
F1 0.0690 0.3157 0.2500
F2 0.0980 0.8934 0.7500
```

Most intense lines, 15° ≤ 2θ ≤ 90°, in order of rising 2θ:
hkl 3 1 0, d 3.285, intensity 100; hkl 2 1 1, d 2.927, intensity 100; hkl 3 0 1, d 2.763, intensity 80; hkl 2 2 1, d 2.562, intensity 50; hkl 3 1 1, d 2.504, intensity 44; hkl 0 0 2, d 1.936, intensity 63; hkl 2 5 0, d 1.896, intensity 52; hkl 5 2 1, d 1.703, intensity 44; hkl 3 1 2, d 1.667, intensity 29; hkl 2 5 2, d 1.354, intensity 36

# 6
Simulated PXRD pattern of PrNdTe2F2 for Cu Kα, 1.54184 Å, from a cell relaxed with PBE.
Peak positions follow from Bragg's law for the DFT cell and can differ from measured ones.

Atomic structure:
```
data_PrNdTe2F2
_chemical_formula_sum 'Pr1 Nd1 Te2 F2'
_cell_length_a 4.1846
_cell_length_b 4.1846
_cell_length_c 7.5266
_cell_angle_alpha 90.00
_cell_angle_beta 90.00
_cell_angle_gamma 90.00
_symmetry_space_group_name_H-M 'P 4 m m'
_symmetry_Int_Tables_number 99
_symmetry_space_group_name_Hall 'P 4 -2'
loop_
_atom_site_label
_atom_site_fract_x
_atom_site_fract_y
_atom_site_fract_z
Pr1 0.0000 0.0000 0.0000
Nd1 0.5000 0.5000 0.3976
Te1 0.0000 0.0000 0.5588
Te2 0.5000 0.5000 0.8357
F1 0.0000 0.5000 0.1997
```

Most intense lines, 15° ≤ 2θ ≤ 90°, in order of rising 2θ:
hkl 0 0 2, d 3.763, intensity 16; hkl 1 1 0, d 2.959, intensity 82; hkl 1 0 2, d 2.798, intensity 100; hkl 1 1 2, d 2.326, intensity 33; hkl 1 0 3, d 2.152, intensity 23; hkl 2 0 0, d 2.092, intensity 41; hkl 1 0 4, d 1.716, intensity 17; hkl 2 1 2, d 1.676, intensity 43; hkl 2 1 3, d 1.500, intensity 14; hkl 2 1 4, d 1.327, intensity 15

# 7
Simulated PXRD pattern of NdSmS2F2 for Cu Kα, 1.54184 Å, from a cell relaxed with PBE.
Peak positions follow from Bragg's law for the DFT cell and can differ from measured ones.

Atomic structure:
```
data_NdSmS2F2
_chemical_formula_sum 'Nd1 Sm1 S2 F2'
_cell_length_a 3.8714
_cell_length_b 3.8714
_cell_length_c 6.9057
_cell_angle_alpha 90.00
_cell_angle_beta 90.00
_cell_angle_gamma 90.00
_symmetry_space_group_name_H-M 'P 4 m m'
_symmetry_Int_Tables_number 99
_symmetry_space_group_name_Hall 'P 4 -2'
loop_
_atom_site_label
_atom_site_fract_x
_atom_site_fract_y
_atom_site_fract_z
Nd1 0.0000 0.0000 0.0000
Sm1 0.5000 0.5000 0.5409
S1 0.0000 0.0000 0.4171
S2 0.5000 0.5000 0.1288
F1 0.0000 0.5000 0.7685
```

Most intense lines, 15° ≤ 2θ ≤ 90°, in order of rising 2θ:
hkl 0 0 2, d 3.453, intensity 32; hkl 1 0 1, d 3.377, intensity 100; hkl 1 1 0, d 2.737, intensity 52; hkl 1 0 2, d 2.577, intensity 17; hkl 1 1 2, d 2.145, intensity 58; hkl 1 0 3, d 1.979, intensity 36; hkl 2 0 0, d 1.936, intensity 29; hkl 2 0 2, d 1.688, intensity 17; hkl 2 1 1, d 1.679, intensity 28; hkl 2 1 3, d 1.384, intensity 22

# 8
Simulated PXRD pattern of NdSb2F12 for Cu Kα, 1.54184 Å, from a cell relaxed with PBE.
Peak positions follow from Bragg's law for the DFT cell and can differ from measured ones.

Atomic structure:
```
data_NdSb2F12
_chemical_formula_sum 'Nd1 Sb2 F12'
_cell_length_a 4.7420
_cell_length_b 5.1046
_cell_length_c 8.5169
_cell_angle_alpha 106.13
_cell_angle_beta 92.15
_cell_angle_gamma 115.47
_symmetry_space_group_name_H-M 'P 1'
_symmetry_Int_Tables_number 1
_symmetry_space_group_name_Hall 'P 1'
loop_
_atom_site_label
_atom_site_fract_x
_atom_site_fract_y
_atom_site_fract_z
Nd1 0.0000 0.0000 0.0000
Sb1 0.5400 0.1809 0.6300
Sb2 0.8291 0.5526 0.2633
F1 0.1453 0.3792 0.2580
F2 0.1699 0.9482 0.2767
F3 0.1934 0.7844 0.5341
F4 0.2919 0.3674 0.5874
F5 0.3536 0.2159 0.8319
F6 0.5366 0.0996 0.0779
F7 0.5976 0.6721 0.1137
F8 0.6848 0.7728 0.4443
F9 0.7246 0.2521 0.4382
F10 0.7414 0.0133 0.7486
F11 0.8861 0.5825 0.7525
F12 0.9986 0.5061 0.0224
```

Most intense lines, 15° ≤ 2θ ≤ 90°, in order of rising 2θ:
hkl 1 -1 0, d 4.115, intensity 47; hkl 1 0 -1, d 4.043, intensity 31; hkl 0 1 -2, d 3.597, intensity 74; hkl 1 0 1, d 3.481, intensity 100; hkl 0 1 1, d 3.396, intensity 58; hkl 1 0 -2, d 3.214, intensity 30; hkl 0 0 3, d 2.682, intensity 26; hkl 1 1 -1, d 2.624, intensity 37; hkl 2 -2 2, d 1.937, intensity 44; hkl 0 2 -4, d 1.800, intensity 33

# 9
Simulated PXRD pattern of NdSmSe2F2 for Cu Kα, 1.54184 Å, from a cell relaxed with PBE.
Peak positions follow from Bragg's law for the DFT cell and can differ from measured ones.

Atomic structure:
```
data_NdSmSe2F2
_chemical_formula_sum 'Nd1 Sm1 Se2 F2'
_cell_length_a 3.9576
_cell_length_b 3.9576
_cell_length_c 7.1193
_cell_angle_alpha 90.00
_cell_angle_beta 90.00
_cell_angle_gamma 90.00
_symmetry_space_group_name_H-M 'P 4 m m'
_symmetry_Int_Tables_number 99
_symmetry_space_group_name_Hall 'P 4 -2'
loop_
_atom_site_label
_atom_site_fract_x
_atom_site_fract_y
_atom_site_fract_z
Nd1 0.0000 0.0000 0.0000
Sm1 0.5000 0.5000 0.5644
Se1 0.0000 0.0000 0.4266
Se2 0.5000 0.5000 0.1429
F1 0.0000 0.5000 0.7802
```

Most intense lines, 15° ≤ 2θ ≤ 90°, in order of rising 2θ:
hkl 0 0 2, d 3.560, intensity 38; hkl 1 0 1, d 3.459, intensity 54; hkl 1 1 0, d 2.798, intensity 100; hkl 1 0 2, d 2.647, intensity 74; hkl 1 1 2, d 2.200, intensity 69; hkl 1 0 3, d 2.035, intensity 46; hkl 2 0 0, d 1.979, intensity 52; hkl 2 0 2, d 1.730, intensity 20; hkl 2 1 2, d 1.585, intensity 31; hkl 2 1 3, d 1.419, intensity 29

# 10
Simulated PXRD pattern of NdSmTe2F2 for Cu Kα, 1.54184 Å, from a cell relaxed with PBE.
Peak positions follow from Bragg's law for the DFT cell and can differ from measured ones.

Atomic structure:
```
data_NdSmTe2F2
_chemical_formula_sum 'Nd1 Sm1 Te2 F2'
_cell_length_a 4.1369
_cell_length_b 4.1369
_cell_length_c 7.4667
_cell_angle_alpha 90.00
_cell_angle_beta 90.00
_cell_angle_gamma 90.00
_symmetry_space_group_name_H-M 'P 4 m m'
_symmetry_Int_Tables_number 99
_symmetry_space_group_name_Hall 'P 4 -2'
loop_
_atom_site_label
_atom_site_fract_x
_atom_site_fract_y
_atom_site_fract_z
Nd1 0.0000 0.0000 0.0000
Sm1 0.5000 0.5000 0.6027
Te1 0.0000 0.0000 0.4403
Te2 0.5000 0.5000 0.1663
F1 0.0000 0.5000 0.7991
```

Most intense lines, 15° ≤ 2θ ≤ 90°, in order of rising 2θ:
hkl 0 0 2, d 3.733, intensity 16; hkl 1 1 0, d 2.925, intensity 82; hkl 1 0 2, d 2.772, intensity 100; hkl 1 1 2, d 2.303, intensity 32; hkl 1 0 3, d 2.133, intensity 24; hkl 2 0 0, d 2.068, intensity 41; hkl 1 0 4, d 1.701, intensity 17; hkl 2 1 2, d 1.658, intensity 43; hkl 2 1 3, d 1.485, intensity 15; hkl 3 1 0, d 1.308, intensity 14

# 11
Simulated PXRD pattern of NdSnF4 for Cu Kα, 1.54184 Å, from a cell relaxed with PBE.
Peak positions follow from Bragg's law for the DFT cell and can differ from measured ones.

Atomic structure:
```
data_NdSnF4
_chemical_formula_sum 'Nd2 Sn2 F8'
_cell_length_a 3.8157
_cell_length_b 3.8157
_cell_length_c 10.8435
_cell_angle_alpha 90.00
_cell_angle_beta 90.00
_cell_angle_gamma 90.00
_symmetry_space_group_name_H-M 'P 4/n m m'
_symmetry_Int_Tables_number 129
loop_
_symmetry_equiv_pos_as_xyz
'x,y,z'
'-x,-y,-z'
'-y+1/2,x,z'
'y+1/2,-x,-z'
'-x+1/2,-y+1/2,z'
'x+1/2,y+1/2,-z'
'y,-x+1/2,z'
'-y,x+1/2,-z'
'x+1/2,-y,-z'
'-x+1/2,y,z'
'-y,-x,-z'
'y,x,z'
'-x,y+1/2,-z'
'x,-y+1/2,z'
'y+1/2,x+1/2,-z'
'-y+1/2,-x+1/2,z'
loop_
_atom_site_label
_atom_site_fract_x
_atom_site_fract_y
_atom_site_fract_z
Nd1 0.2500 0.2500 0.1424
Sn1 0.2500 0.2500 0.5672
F1 0.2500 0.2500 0.8590
F2 0.2500 0.7500 0.0000
F3 0.2500 0.7500 0.2896
```

Most intense lines, 15° ≤ 2θ ≤ 90°, in order of rising 2θ:
hkl 0 0 3, d 3.614, intensity 15; hkl 1 0 2, d 3.120, intensity 100; hkl 1 1 0, d 2.698, intensity 39; hkl 1 1 3, d 2.162, intensity 42; hkl 1 1 4, d 1.912, intensity 22; hkl 2 0 0, d 1.908, intensity 32; hkl 1 0 5, d 1.885, intensity 28; hkl 2 1 2, d 1.628, intensity 31; hkl 2 1 5, d 1.341, intensity 19; hkl 2 0 7, d 1.203, intensity 13

# 12
Simulated PXRD pattern of TbNd2F8 for Cu Kα, 1.54184 Å, from a cell relaxed with PBE.
Peak positions follow from Bragg's law for the DFT cell and can differ from measured ones.

Atomic structure:
```
data_TbNd2F8
_chemical_formula_sum 'Tb2 Nd4 F16'
_cell_length_a 5.0807
_cell_length_b 5.0807
_cell_length_c 11.6100
_cell_angle_alpha 90.00
_cell_angle_beta 90.00
_cell_angle_gamma 90.00
_symmetry_space_group_name_H-M 'I -4'
_symmetry_Int_Tables_number 82
_symmetry_space_group_name_Hall 'I -4'
loop_
_atom_site_label
_atom_site_fract_x
_atom_site_fract_y
_atom_site_fract_z
Tb1 0.0000 0.0000 0.0000
Nd1 0.0000 0.0000 0.3261
F1 0.0972 0.2484 0.8362
F2 0.1433 0.7056 0.4528
```

Most intense lines, 15° ≤ 2θ ≤ 90°, in order of rising 2θ:
hkl 1 1 0, d 3.593, intensity 86; hkl 1 0 3, d 3.079, intensity 100; hkl 2 0 0, d 2.540, intensity 26; hkl 2 1 3, d 1.959, intensity 81; hkl 1 1 6, d 1.704, intensity 22; hkl 1 3 0, d 1.607, intensity 20; hkl 3 0 3, d 1.552, intensity 17; hkl 2 0 6, d 1.539, intensity 14; hkl 3 2 3, d 1.324, intensity 17; hkl 1 3 6, d 1.236, intensity 14